# 1
The following is a simulated XRD peak list of Pr9NdHo2. It was derived from a PBE-relaxed structure, using λ = 1.5418 Å (Cu Kα).

Structural model:
```
data_Pr9NdHo2
_chemical_formula_sum 'Pr9 Nd1 Ho2'
_cell_length_a 5.201
_cell_length_b 5.201
_cell_length_c 15.610
_cell_angle_alpha 90.00
_cell_angle_beta 90.00
_cell_angle_gamma 90.00
_space_group_name_H-M_alt 'P 4/m m m'
_space_group_IT_number 123
_space_group_name_Hall '-P 4 2'
loop_
_atom_site_label
_atom_site_fract_x
_atom_site_fract_y
_atom_site_fract_z
Pr1 0.000 0.000 0.000
Pr2 0.000 0.000 0.335
Pr3 0.000 0.500 0.169
Pr4 0.000 0.500 0.500
Nd1 0.500 0.500 0.000
Ho1 0.500 0.500 0.335
```

Main lines, in order of rising 2θ (15 to 90 degrees two-theta):
2theta	I/Imax
29.75	100
34.48	51
49.57	36
58.88	43
61.78	12
72.72	6
80.48	18
83.03	16

# 2
The following is a simulated XRD peak list of Pr2Nd2Ho5. It was derived from a PBE-relaxed structure, using λ = 1.5418 Å (Cu Kα).

Structural model:
```
data_Pr2Nd2Ho5
_chemical_formula_sum 'Pr4 Nd4 Ho10'
_cell_length_a 17.726
_cell_length_b 3.509
_cell_length_c 9.856
_cell_angle_alpha 90.00
_cell_angle_beta 98.73
_cell_angle_gamma 90.00
_space_group_name_H-M_alt 'C 1 2/m 1'
_space_group_IT_number 12
_space_group_name_Hall '-C 2y'
loop_
_atom_site_label
_atom_site_fract_x
_atom_site_fract_y
_atom_site_fract_z
Pr1 0.165 0.000 0.223
Nd1 0.005 0.500 0.688
Ho1 0.000 0.000 0.000
Ho2 0.172 0.500 0.540
Ho3 0.174 0.000 0.866
```

Main lines, in order of rising 2θ (15 to 90 degrees two-theta):
2theta	I/Imax
27.23	61
27.76	30
30.62	100
30.78	93
31.73	94
33.78	82
36.31	56
38.41	31
53.34	33
61.67	50